Entry 1:
The following is a theoretical powder diffraction line list of Hf2Ge. It was derived from a crystal structure in the Materials Project, relaxed with GGA-PBE, using λ = 1.5418 Å (Cu Kα).
Peak positions follow from Bragg's law for the DFT cell and can differ from measured ones.

Crystal structure
```
Hf2Ge
1.0
6.6406 0.0000 0.0000
0.0000 6.6406 0.0000
0.0000 0.0000 5.2979
Hf Ge
8 4
direct
0.1550 0.3450 0.0000
0.1550 0.6550 0.5000
0.3450 0.1550 0.5000
0.3450 0.8450 0.0000
0.6550 0.1550 0.0000
0.6550 0.8450 0.5000
0.8450 0.3450 0.5000
0.8450 0.6550 0.0000
0.0000 0.0000 0.2500
0.0000 0.0000 0.7500
0.5000 0.5000 0.2500
0.5000 0.5000 0.7500
```

Largest 10 diffraction maxima, by intensity, 15 to 90 degrees two-theta:
34.63 deg, I = 100.0, hkl 2 1 1; 43.08 deg, I = 27.0, hkl 3 1 0; 61.05 deg, I = 19.8, hkl 2 1 3; 39.04 deg, I = 17.2, hkl 1 1 2; 69.79 deg, I = 15.1, hkl 3 3 2; 43.71 deg, I = 15.1, hkl 2 0 2; 33.84 deg, I = 13.8, hkl 0 0 2; 79.86 deg, I = 13.2, hkl 5 2 1; 66.46 deg, I = 11.4, hkl 4 0 2; 60.04 deg, I = 11.3, hkl 4 1 1

***

Entry 2:
The following is a theoretical powder diffraction line list of Na6Hf3MgGe2P4O24. It was derived from a crystal structure in the Materials Project, relaxed with GGA-PBE, using λ = 1.5418 Å (Cu Kα).
Peak positions follow from Bragg's law for the DFT cell and can differ from measured ones.

Crystal structure
```
Na6Hf3MgGe2P4O24
1.0
9.1344 0.0000 0.0000
4.5330 7.9511 0.0000
4.4336 2.7336 7.5335
Na Hf Mg Ge P O
6 3 1 2 4 24
direct
0.0000 0.0000 0.0000
0.0212 0.3429 0.2586
0.2326 0.6178 0.8907
0.4235 0.8841 0.4945
0.4619 0.2248 0.8038
0.7519 0.1067 0.3846
0.2966 0.2715 0.5318
0.6735 0.4795 0.7402
0.7906 0.7606 0.0350
0.1737 0.9611 0.2448
0.4812 0.1687 0.1391
0.9796 0.0682 0.6377
0.4675 0.8732 0.8499
0.4865 0.5765 0.4281
0.9774 0.6649 0.3448
0.9914 0.3694 0.9273
0.1387 0.4978 0.3956
0.1654 0.3292 0.7729
0.1665 0.1111 0.6045
0.2957 0.9103 0.9990
0.2969 0.1360 0.1686
0.3275 0.7406 0.3892
0.4735 0.0431 0.6773
0.4729 0.3960 0.4696
0.4797 0.1780 0.3285
0.4904 0.7226 0.7987
0.4906 0.3690 0.9556
0.4980 0.5608 0.6020
0.6304 0.8243 0.9019
0.6609 0.5950 0.2729
0.6713 0.9801 0.0983
0.7957 0.2520 0.6931
0.8065 0.6370 0.4999
0.8320 0.4274 0.8675
0.9754 0.6609 0.1762
0.9792 0.5251 0.9630
0.9793 0.8729 0.8293
0.9846 0.0630 0.4506
0.9850 0.2060 0.0976
0.9906 0.8419 0.3031
```

Largest 10 diffraction maxima, by intensity, 15 to 90 degrees two-theta:
19.37 deg, I = 100.0, hkl 1 -1 0; 33.89 deg, I = 47.6, hkl 1 0 3; 30.48 deg, I = 31.3, hkl 2 1 -1; 33.95 deg, I = 29.4, hkl 2 3 3; 19.44 deg, I = 24.7, hkl 2 1 1; 19.10 deg, I = 24.4, hkl 1 0 -1; 22.56 deg, I = 21.0, hkl 1 1 -1; 30.65 deg, I = 18.7, hkl -1 2 1; 22.66 deg, I = 17.0, hkl 0 2 1; 31.05 deg, I = 16.7, hkl 3 1 2

***

Entry 3:
The following is a theoretical powder diffraction line list of HfMn6Ge6. It was derived from a crystal structure in the Materials Project, relaxed with GGA-PBE, using λ = 1.5418 Å (Cu Kα).
Peak positions follow from Bragg's law for the DFT cell and can differ from measured ones.

Crystal structure
```
HfMn6Ge6
1.0
5.0144 0.0000 0.0000
-2.5072 4.3426 0.0000
0.0000 0.0000 8.0792
Hf Mn Ge
1 6 6
direct
0.0000 0.0000 0.0000
0.0000 0.5000 0.2476
0.0000 0.5000 0.7524
0.5000 0.0000 0.2476
0.5000 0.0000 0.7524
0.5000 0.5000 0.2476
0.5000 0.5000 0.7524
0.0000 0.0000 0.3429
0.0000 0.0000 0.6571
0.3333 0.6667 0.0000
0.3333 0.6667 0.5000
0.6667 0.3333 0.0000
0.6667 0.3333 0.5000
```

Largest 10 diffraction maxima, by intensity, 15 to 90 degrees two-theta:
42.43 deg, I = 100.0, hkl 1 1 2; 35.82 deg, I = 76.5, hkl 1 1 0; 41.59 deg, I = 48.9, hkl 2 0 0; 39.37 deg, I = 47.9, hkl 1 0 3; 47.54 deg, I = 33.1, hkl 2 0 2; 75.90 deg, I = 27.6, hkl 2 2 0; 81.06 deg, I = 27.5, hkl 1 1 6; 44.88 deg, I = 25.0, hkl 0 0 4; 49.68 deg, I = 24.5, hkl 1 1 3; 68.91 deg, I = 22.8, hkl 3 0 2